[1]
# MgSc6Sb
Simulated powder X-ray diffraction pattern, λ = 1.5418 Å (Cu Kα). Input: the GGA-PBE geometry in Alexandria.
No peak broadening, texture or thermal motion is included.

Most intense lines, 5° ≤ 2θ ≤ 70°, in order of rising 2θ:
2θ/deg  I (rel.)
10.54  25
20.55  26
26.95  15
35.08  92
35.45  100
48.48  15
50.73  30
62.70  11
63.41  29
63.64  16

Structure:
a = 8.8911 Å, b = 8.8911 Å, c = 8.8911 Å
α = 33.10°, β = 33.10°, γ = 33.10°
Fractional positions:
Mg  0.0000  0.0000  0.0000
Sc  0.1269  0.1269  0.1269
Sc  0.2621  0.2621  0.2621
Sc  0.3824  0.3824  0.3824
Sc  0.6176  0.6176  0.6176
Sc  0.7379  0.7379  0.7379
Sc  0.8731  0.8731  0.8731
Sb  0.5000  0.5000  0.5000

---

[2]
# BaSr2Ca9
Simulated powder X-ray diffraction pattern, λ = 1.5418 Å (Cu Kα). Input: the GGA-PBE geometry in Alexandria.
No peak broadening, texture or thermal motion is included.

Most intense lines, 5° ≤ 2θ ≤ 70°, in order of rising 2θ:
2θ/deg  I (rel.)
15.61  18
22.15  16
27.21  100
31.52  51
35.36  10
38.86  8
45.18  35
48.09  6
53.54  41
56.13  12

Structure:
a = 5.6797 Å, b = 5.6797 Å, c = 17.0102 Å
α = 90.00°, β = 90.00°, γ = 90.00°
Fractional positions:
Ba  0.0000  0.0000  0.0000
Sr  0.0000  0.0000  0.3356
Sr  0.0000  0.0000  0.6644
Ca  0.0000  0.5000  0.1710
Ca  0.0000  0.5000  0.5000
Ca  0.0000  0.5000  0.8290
Ca  0.5000  0.0000  0.1710
Ca  0.5000  0.0000  0.5000
Ca  0.5000  0.0000  0.8290
Ca  0.5000  0.5000  0.0000
Ca  0.5000  0.5000  0.3361
Ca  0.5000  0.5000  0.6639

---

[3]
# K3Tl4Pd
Simulated powder X-ray diffraction pattern, λ = 1.5418 Å (Cu Kα). Input: the GGA-PBE geometry in Alexandria.
No peak broadening, texture or thermal motion is included.

Most intense lines, 5° ≤ 2θ ≤ 70°, in order of rising 2θ:
2θ/deg  I (rel.)
13.60  99
15.70  97
16.55  90
26.87  62
28.37  38
30.21  100
33.84  65
34.76  44
38.73  80
41.62  40

Structure:
a = 7.5197 Å, b = 7.5197 Å, c = 7.5197 Å
α = 127.59°, β = 113.91°, γ = 89.12°
Fractional positions:
K  0.0000  0.0000  0.0000
K  0.4014  0.6285  0.7729
K  0.8556  0.6285  0.2271
Tl  0.3673  0.1051  0.7378
Tl  0.3673  0.6295  0.2622
Tl  0.6036  0.2945  0.3090
Tl  0.9855  0.2945  0.6910
Pd  0.5822  0.0822  0.5000

---

Question: Which formula does entry 2 have?
Answer: BaSr2Ca9

---

Question: Number 2 is which compound?
Answer: BaSr2Ca9

---

Question: Which formula does entry 2 have?
Answer: BaSr2Ca9